Diffraction record for MgAl2S4. The PXRD pattern is simulated, not measured: it uses the GGA-PBE geometry in the Materials Project and Cu Kα (weighted mean of Kα1 and Kα2).
Lines closer than 0.1° are merged.

a b c (Å): 13.1374 13.1374 13.1374
angles (deg): 16.26 16.26 16.26
Sites, in units of the cell vectors:
Mg1 0.0000 0.0000 0.0000
Al1 0.2420 0.2420 0.2420
Al2 0.7580 0.7580 0.7580
S1 0.1162 0.1162 0.1162
S2 0.2978 0.2978 0.2978
S3 0.7022 0.7022 0.7022
S4 0.8838 0.8838 0.8838

Most intense lines, 10 to 90 degrees two-theta, sorted by position:
| 2θ/deg | I/Imax |
| --- | --- |
| 20.56 | 66 |
| 27.82 | 41 |
| 28.11 | 68 |
| 30.06 | 72 |
| 32.15 | 66 |
| 33.40 | 54 |
| 36.24 | 35 |
| 46.85 | 32 |
| 48.85 | 84 |
| 49.04 | 100 |